Entry 1:
Fe3P6H14N3O24: theoretical X-ray diffraction stick pattern (CuKα), based on a DFT-relaxed cell (PBE+U, the Materials Project).
Peak positions follow from Bragg's law for the DFT cell and can differ from measured ones.

Top 12 peaks for 5° ≤ 2θ ≤ 70°, by angle:
- 8.446 Å, 2θ 10.47, intensity 32, hkl 0 0 1
- 7.877 Å, 2θ 11.23, intensity 100, hkl 0 1 0
- 6.770 Å, 2θ 13.08, intensity 65, hkl 1 0 0
- 6.432 Å, 2θ 13.77, intensity 97, hkl 1 1 1
- 4.060 Å, 2θ 21.89, intensity 22, hkl 1 1 -1
- 3.716 Å, 2θ 23.95, intensity 25, hkl 2 1 1
- 3.360 Å, 2θ 26.53, intensity 23, hkl 2 1 2
- 3.200 Å, 2θ 27.88, intensity 70, hkl -1 1 2
- 3.059 Å, 2θ 29.19, intensity 39, hkl 1 2 3
- 3.018 Å, 2θ 29.60, intensity 63, hkl 1 2 -1
- 2.803 Å, 2θ 31.93, intensity 26, hkl 0 3 1
- 2.744 Å, 2θ 32.64, intensity 39, hkl 1 -2 1

Crystal structure
```
data_Fe3P6H14N3O24
_chemical_formula_sum 'Fe3 P6 H14 N3 O24'
_space_group_name_H-M_alt 'P -1'
_space_group_IT_number 2
_cell_length_a 7.4462
_cell_length_b 9.0316
_cell_length_c 9.5995
_cell_angle_alpha 64.39
_cell_angle_beta 70.07
_cell_angle_gamma 68.73
loop_
_space_group_symop_operation_xyz
'x,y,z'
'-x,-y,-z'
loop_
_atom_site_label
_atom_site_type_symbol
_atom_site_fract_x
_atom_site_fract_y
_atom_site_fract_z
Fe1 Fe 0.0000 0.0000 0.0000
Fe2 Fe 0.2039 0.2120 0.4472
P1 P 0.0798 0.6213 0.2711
P2 P 0.0832 0.8443 0.7225
P3 P 0.4408 0.0483 0.7246
H1 H 0.0862 0.5334 0.7227
H2 H 0.2955 0.9450 0.2186
H3 H 0.3132 0.2843 0.9288
H4 H 0.3376 0.4668 0.9173
H5 H 0.3505 0.2928 0.0892
H6 H 0.3846 0.7524 0.7565
H7 H 0.4662 0.7053 0.0714
N1 N 0.3826 0.3356 0.9664
N2 N 0.5000 0.5000 0.5000
O1 O 0.0175 0.2576 0.3072
O2 O 0.0190 0.6844 0.4099
O3 O 0.0585 0.0837 0.1474
O4 O 0.1033 0.4085 0.7546
O5 O 0.1552 0.7590 0.1180
O6 O 0.1598 0.9807 0.5735
O7 O 0.2399 0.4520 0.2992
O8 O 0.2569 0.0314 0.8590
O9 O 0.2704 0.7030 0.7887
O10 O 0.3945 0.1742 0.5655
O11 O 0.4301 0.8765 0.2329
O12 O 0.4391 0.1315 0.2812
```


Entry 2:
CaMg6FeO8: theoretical X-ray diffraction stick pattern (CuKα), based on a DFT-relaxed cell (PBE+U, the Materials Project).
Peak positions follow from Bragg's law for the DFT cell and can differ from measured ones.

Top 12 peaks for 5° ≤ 2θ ≤ 70°, by angle:
- 8.669 Å, 2θ 10.20, intensity 5, hkl 0 0 1
- 4.400 Å, 2θ 20.18, intensity 11, hkl 1 0 0
- 4.335 Å, 2θ 20.49, intensity 6, hkl 0 0 2
- 3.924 Å, 2θ 22.66, intensity 2, hkl 1 0 1
- 3.111 Å, 2θ 28.69, intensity 5, hkl 1 1 0
- 3.088 Å, 2θ 28.91, intensity 9, hkl 1 0 2
- 2.528 Å, 2θ 35.52, intensity 31, hkl 1 1 2
- 2.200 Å, 2θ 41.02, intensity 100, hkl 2 0 0
- 2.167 Å, 2θ 41.67, intensity 47, hkl 0 0 4
- 1.792 Å, 2θ 50.96, intensity 3, hkl 2 1 2
- 1.556 Å, 2θ 59.41, intensity 29, hkl 2 2 0
- 1.544 Å, 2θ 59.91, intensity 55, hkl 2 0 4

Crystal structure
```
data_CaMg6FeO8
_chemical_formula_sum 'Ca1 Mg6 Fe1 O8'
_space_group_name_H-M_alt 'P 4/m m m'
_space_group_IT_number 123
_space_group_name_Hall '-P 4 2'
_cell_length_a 4.4003
_cell_length_b 4.4003
_cell_length_c 8.6692
_cell_angle_alpha 90.00
_cell_angle_beta 90.00
_cell_angle_gamma 90.00
loop_
_atom_site_label
_atom_site_type_symbol
_atom_site_fract_x
_atom_site_fract_y
_atom_site_fract_z
Ca1 Ca 0.0000 0.0000 0.0000
Mg1 Mg 0.0000 0.5000 0.2567
Mg2 Mg 0.5000 0.5000 0.0000
Mg3 Mg 0.5000 0.5000 0.5000
Fe1 Fe 0.0000 0.0000 0.5000
O1 O 0.0000 0.0000 0.2619
O2 O 0.0000 0.5000 0.0000
O3 O 0.0000 0.5000 0.5000
O4 O 0.5000 0.5000 0.2507
```


Entry 3:
Li4CoP2O8: theoretical X-ray diffraction stick pattern (CuKα), based on a DFT-relaxed cell (PBE+U, the Materials Project).
Peak positions follow from Bragg's law for the DFT cell and can differ from measured ones.

Top 12 peaks for 5° ≤ 2θ ≤ 70°, by angle:
- 7.969 Å, 2θ 11.10, intensity 20, hkl 1 0 0
- 6.323 Å, 2θ 14.01, intensity 46, hkl 1 1 0
- 5.526 Å, 2θ 16.04, intensity 23, hkl 1 1 -1
- 4.358 Å, 2θ 20.38, intensity 29, hkl 0 2 1
- 4.071 Å, 2θ 21.83, intensity 83, hkl 1 2 -1
- 3.973 Å, 2θ 22.38, intensity 100, hkl 0 0 2
- 3.723 Å, 2θ 23.90, intensity 53, hkl 2 1 0
- 2.763 Å, 2θ 32.40, intensity 51, hkl 2 2 -2
- 2.619 Å, 2θ 34.24, intensity 26, hkl 2 3 0
- 2.606 Å, 2θ 34.41, intensity 40, hkl 0 4 0
- 2.509 Å, 2θ 35.79, intensity 50, hkl 2 0 2
- 1.533 Å, 2θ 60.38, intensity 23, hkl 2 6 -2

Crystal structure
```
data_Li4CoP2O8
_chemical_formula_sum 'Li16 Co4 P8 O32'
_space_group_name_H-M_alt 'P 1 21/c 1'
_space_group_IT_number 14
_cell_length_a 8.2426
_cell_length_b 10.4249
_cell_length_c 8.2075
_cell_angle_alpha 90.00
_cell_angle_beta 104.81
_cell_angle_gamma 90.00
loop_
_space_group_symop_operation_xyz
'x,y,z'
'-x,-y,-z'
'-x,y+1/2,-z+1/2'
'x,-y+1/2,z+1/2'
loop_
_atom_site_label
_atom_site_type_symbol
_atom_site_fract_x
_atom_site_fract_y
_atom_site_fract_z
Li1 Li 0.0221 0.0726 0.2723
Li2 Li 0.1021 0.1642 0.5995
Li3 Li 0.1546 0.6626 0.6575
Li4 Li 0.3512 0.1516 0.3498
Co1 Co 0.4061 0.6562 0.4106
P1 P 0.2102 0.0920 0.9739
P2 P 0.2676 0.5933 0.0347
O1 O 0.0624 0.1013 0.8131
O2 O 0.1167 0.6547 0.0882
O3 O 0.1614 0.1502 0.1288
O4 O 0.2260 0.0471 0.4786
O5 O 0.2545 0.5529 0.5091
O6 O 0.3040 0.6702 0.8846
O7 O 0.3626 0.1672 0.9413
O8 O 0.4279 0.6042 0.1850
```


Entry 4:
V2ZnO4: theoretical X-ray diffraction stick pattern (CuKα), based on a DFT-relaxed cell (PBE+U, the Materials Project).
Peak positions follow from Bragg's law for the DFT cell and can differ from measured ones.

Top 12 peaks for 5° ≤ 2θ ≤ 70°, by angle:
- 2.860 Å, 2θ 31.27, intensity 16, hkl 0 1 1
- 2.733 Å, 2θ 32.77, intensity 16, hkl 1 1 1
- 2.662 Å, 2θ 33.67, intensity 100, hkl 3 0 2
- 2.626 Å, 2θ 34.15, intensity 48, hkl 0 0 4
- 2.492 Å, 2θ 36.05, intensity 43, hkl 1 1 2
- 2.201 Å, 2θ 41.00, intensity 43, hkl 1 1 3
- 2.099 Å, 2θ 43.10, intensity 24, hkl 3 1 1
- 1.827 Å, 2θ 49.92, intensity 39, hkl 4 1 0
- 1.811 Å, 2θ 50.38, intensity 22, hkl 2 1 4
- 1.800 Å, 2θ 50.71, intensity 22, hkl 4 1 1
- 1.523 Å, 2θ 60.83, intensity 16, hkl 3 0 6
- 1.486 Å, 2θ 62.48, intensity 19, hkl 0 2 0

Crystal structure
```
data_V2ZnO4
_chemical_formula_sum 'V8 Zn4 O16'
_space_group_name_H-M_alt 'P n m a'
_space_group_IT_number 62
_cell_length_a 9.2655
_cell_length_b 2.9728
_cell_length_c 10.5027
_cell_angle_alpha 90.00
_cell_angle_beta 90.00
_cell_angle_gamma 90.00
loop_
_space_group_symop_operation_xyz
'x,y,z'
'-x,-y,-z'
'-x+1/2,-y,z+1/2'
'x+1/2,y,-z+1/2'
'x+1/2,-y+1/2,-z+1/2'
'-x+1/2,y+1/2,z+1/2'
'-x,y+1/2,-z'
'x,-y+1/2,z'
loop_
_atom_site_label
_atom_site_type_symbol
_atom_site_fract_x
_atom_site_fract_y
_atom_site_fract_z
V1 V 0.0630 0.2500 0.1208
V2 V 0.0923 0.2500 0.6025
Zn1 Zn 0.2470 0.7500 0.8541
O1 O 0.0448 0.7500 0.7178
O2 O 0.0899 0.2500 0.9298
O3 O 0.1218 0.7500 0.4626
O4 O 0.2018 0.7500 0.1770
```


Entry 5:
K2Na4Co2O5: theoretical X-ray diffraction stick pattern (CuKα), based on a DFT-relaxed cell (PBE+U, the Materials Project).
Peak positions follow from Bragg's law for the DFT cell and can differ from measured ones.

Top 12 peaks for 5° ≤ 2θ ≤ 70°, by angle:
- 5.233 Å, 2θ 16.94, intensity 25, hkl 0 0 2
- 4.146 Å, 2θ 21.43, intensity 39, hkl 1 1 -2
- 3.193 Å, 2θ 27.94, intensity 23, hkl 2 0 -2
- 2.856 Å, 2θ 31.32, intensity 12, hkl 2 1 -2
- 2.726 Å, 2θ 32.86, intensity 100, hkl 2 0 0
- 2.616 Å, 2θ 34.27, intensity 30, hkl 0 0 4
- 2.507 Å, 2θ 35.82, intensity 41, hkl 2 1 -4
- 2.258 Å, 2θ 39.93, intensity 57, hkl 2 2 -2
- 1.929 Å, 2θ 47.11, intensity 18, hkl 2 1 -6
- 1.710 Å, 2θ 53.61, intensity 21, hkl 2 2 2
- 1.531 Å, 2θ 60.46, intensity 18, hkl 2 0 4
- 1.485 Å, 2θ 62.54, intensity 19, hkl 1 4 1

Crystal structure
```
data_K2Na4Co2O5
_chemical_formula_sum 'K4 Na8 Co4 O10'
_space_group_name_H-M_alt 'P 1 21/c 1'
_space_group_IT_number 14
_cell_length_a 6.3874
_cell_length_b 6.3859
_cell_length_c 12.2516
_cell_angle_alpha 90.00
_cell_angle_beta 121.32
_cell_angle_gamma 90.00
loop_
_space_group_symop_operation_xyz
'x,y,z'
'-x,-y,-z'
'-x,y+1/2,-z+1/2'
'x,-y+1/2,z+1/2'
loop_
_atom_site_label
_atom_site_type_symbol
_atom_site_fract_x
_atom_site_fract_y
_atom_site_fract_z
K1 K 0.2146 0.1959 0.0186
Na1 Na 0.2456 0.5009 0.2500
Na2 Na 0.2753 0.5007 0.7793
Co1 Co 0.2878 0.7130 0.0009
O1 O 0.0519 0.7145 0.3388
O2 O 0.3791 0.7139 0.6638
O3 O 0.5000 0.0000 0.5000
```


Entry 6:
Li4Cr3GaO8: theoretical X-ray diffraction stick pattern (CuKα), based on a DFT-relaxed cell (PBE+U, the Materials Project).
Peak positions follow from Bragg's law for the DFT cell and can differ from measured ones.

Top 12 peaks for 5° ≤ 2θ ≤ 70°, by angle:
- 4.879 Å, 2θ 18.18, intensity 100, hkl 0 1 0
- 2.521 Å, 2θ 35.61, intensity 42, hkl 2 0 0
- 2.439 Å, 2θ 36.85, intensity 5, hkl 0 2 0
- 2.416 Å, 2θ 37.21, intensity 13, hkl 1 0 2
- 2.097 Å, 2θ 43.13, intensity 78, hkl 2 1 0
- 1.928 Å, 2θ 47.14, intensity 9, hkl 1 1 2
- 1.619 Å, 2θ 56.86, intensity 14, hkl 1 -3 2
- 1.488 Å, 2θ 62.39, intensity 21, hkl 1 2 2
- 1.480 Å, 2θ 62.80, intensity 7, hkl 0 1 -4
- 1.477 Å, 2θ 62.93, intensity 14, hkl 3 0 -2
- 1.416 Å, 2θ 65.97, intensity 5, hkl 0 0 4
- 1.414 Å, 2θ 66.10, intensity 10, hkl 3 -2 2

Crystal structure
```
data_Li4Cr3GaO8
_chemical_formula_sum 'Li4 Cr3 Ga1 O8'
_space_group_name_H-M_alt 'P -1'
_space_group_IT_number 2
_cell_length_a 5.1127
_cell_length_b 5.1681
_cell_length_c 5.9188
_cell_angle_alpha 106.63
_cell_angle_beta 90.00
_cell_angle_gamma 99.45
loop_
_space_group_symop_operation_xyz
'x,y,z'
'-x,-y,-z'
loop_
_atom_site_label
_atom_site_type_symbol
_atom_site_fract_x
_atom_site_fract_y
_atom_site_fract_z
Li1 Li 0.2500 0.0002 0.1250
Li2 Li 0.2501 0.9999 0.6250
Cr1 Cr 0.9999 0.4999 0.2493
Cr2 Cr 0.5000 0.5000 0.5000
Ga1 Ga 0.5000 0.5000 0.0000
O1 O 0.1278 0.2737 0.4435
O2 O 0.1308 0.2736 0.9434
O3 O 0.3717 0.7263 0.3054
O4 O 0.3719 0.7260 0.8077
```


Entry 7:
Sr2CdWO6: theoretical X-ray diffraction stick pattern (CuKα), based on a DFT-relaxed cell (PBE+U, the Materials Project).
Peak positions follow from Bragg's law for the DFT cell and can differ from measured ones.

Top 12 peaks for 5° ≤ 2θ ≤ 70°, by angle:
- 4.824 Å, 2θ 18.39, intensity 7, hkl 1 1 1
- 4.177 Å, 2θ 21.27, intensity 15, hkl 2 0 0
- 2.954 Å, 2θ 30.26, intensity 100, hkl 2 2 0
- 2.519 Å, 2θ 35.64, intensity 3, hkl 3 1 1
- 2.089 Å, 2θ 43.32, intensity 31, hkl 4 0 0
- 1.917 Å, 2θ 47.43, intensity 1, hkl 3 3 1
- 1.868 Å, 2θ 48.74, intensity 6, hkl 4 2 0
- 1.705 Å, 2θ 53.75, intensity 40, hkl 4 2 2
- 1.608 Å, 2θ 57.30, intensity 2, hkl 5 1 1
- 1.477 Å, 2θ 62.93, intensity 19, hkl 4 4 0
- 1.412 Å, 2θ 66.17, intensity 1, hkl 5 3 1
- 1.392 Å, 2θ 67.23, intensity 3, hkl 6 0 0

Crystal structure
```
data_Sr2CdWO6
_chemical_formula_sum 'Sr8 Cd4 W4 O24'
_space_group_name_H-M_alt 'F m -3 m'
_space_group_IT_number 225
_space_group_name_Hall '-F 4 2 3'
_cell_length_a 8.3549
_cell_length_b 8.3549
_cell_length_c 8.3549
_cell_angle_alpha 90.00
_cell_angle_beta 90.00
_cell_angle_gamma 90.00
loop_
_atom_site_label
_atom_site_type_symbol
_atom_site_fract_x
_atom_site_fract_y
_atom_site_fract_z
Sr1 Sr 0.2500 0.2500 0.2500
Cd1 Cd 0.0000 0.0000 0.0000
W1 W 0.0000 0.0000 0.5000
O1 O 0.0000 0.0000 0.2676
```


Repeat the first record exactly.
Fe3P6H14N3O24: theoretical X-ray diffraction stick pattern (CuKα), based on a DFT-relaxed cell (PBE+U, the Materials Project).
Peak positions follow from Bragg's law for the DFT cell and can differ from measured ones.

Top 12 peaks for 5° ≤ 2θ ≤ 70°, by angle:
- 8.446 Å, 2θ 10.47, intensity 32, hkl 0 0 1
- 7.877 Å, 2θ 11.23, intensity 100, hkl 0 1 0
- 6.770 Å, 2θ 13.08, intensity 65, hkl 1 0 0
- 6.432 Å, 2θ 13.77, intensity 97, hkl 1 1 1
- 4.060 Å, 2θ 21.89, intensity 22, hkl 1 1 -1
- 3.716 Å, 2θ 23.95, intensity 25, hkl 2 1 1
- 3.360 Å, 2θ 26.53, intensity 23, hkl 2 1 2
- 3.200 Å, 2θ 27.88, intensity 70, hkl -1 1 2
- 3.059 Å, 2θ 29.19, intensity 39, hkl 1 2 3
- 3.018 Å, 2θ 29.60, intensity 63, hkl 1 2 -1
- 2.803 Å, 2θ 31.93, intensity 26, hkl 0 3 1
- 2.744 Å, 2θ 32.64, intensity 39, hkl 1 -2 1

Crystal structure
```
data_Fe3P6H14N3O24
_chemical_formula_sum 'Fe3 P6 H14 N3 O24'
_space_group_name_H-M_alt 'P -1'
_space_group_IT_number 2
_cell_length_a 7.4462
_cell_length_b 9.0316
_cell_length_c 9.5995
_cell_angle_alpha 64.39
_cell_angle_beta 70.07
_cell_angle_gamma 68.73
loop_
_space_group_symop_operation_xyz
'x,y,z'
'-x,-y,-z'
loop_
_atom_site_label
_atom_site_type_symbol
_atom_site_fract_x
_atom_site_fract_y
_atom_site_fract_z
Fe1 Fe 0.0000 0.0000 0.0000
Fe2 Fe 0.2039 0.2120 0.4472
P1 P 0.0798 0.6213 0.2711
P2 P 0.0832 0.8443 0.7225
P3 P 0.4408 0.0483 0.7246
H1 H 0.0862 0.5334 0.7227
H2 H 0.2955 0.9450 0.2186
H3 H 0.3132 0.2843 0.9288
H4 H 0.3376 0.4668 0.9173
H5 H 0.3505 0.2928 0.0892
H6 H 0.3846 0.7524 0.7565
H7 H 0.4662 0.7053 0.0714
N1 N 0.3826 0.3356 0.9664
N2 N 0.5000 0.5000 0.5000
O1 O 0.0175 0.2576 0.3072
O2 O 0.0190 0.6844 0.4099
O3 O 0.0585 0.0837 0.1474
O4 O 0.1033 0.4085 0.7546
O5 O 0.1552 0.7590 0.1180
O6 O 0.1598 0.9807 0.5735
O7 O 0.2399 0.4520 0.2992
O8 O 0.2569 0.0314 0.8590
O9 O 0.2704 0.7030 0.7887
O10 O 0.3945 0.1742 0.5655
O11 O 0.4301 0.8765 0.2329
O12 O 0.4391 0.1315 0.2812
```


Number 2 is which compound? CaMg6FeO8